[1]
# La2Nd4Tl3
Theoretical powder diffractogram, Cu Kα (λ = 1.5418 Å). Input: a crystal structure in Alexandria, relaxed with PBE.

Top 10 peaks for 10 to 90 degrees two-theta, by angle:
| Position (°2θ) | I_rel |
| --- | --- |
| 19.21 | 27 |
| 29.37 | 36 |
| 29.88 | 56 |
| 30.68 | 100 |
| 32.16 | 61 |
| 33.28 | 67 |
| 37.94 | 44 |
| 38.98 | 22 |
| 46.10 | 24 |
| 59.86 | 29 |

Cell and atoms:
```
La2Nd4Tl3
1.0
6.9940 0.0000 0.0000
0.0000 18.4693 0.0000
0.0000 0.0000 4.7426
La Nd Tl
4 8 6
Cartesian
1.2439 1.3251 0.0000 La
2.2530 10.5597 2.3713 La
4.7409 7.9095 2.3713 La
5.7500 17.1442 0.0000 La
0.6750 13.1910 0.0000 Nd
1.2011 7.2347 2.3713 Nd
2.2958 16.4693 0.0000 Nd
2.8220 3.9564 2.3713 Nd
4.1719 14.5129 2.3713 Nd
4.6981 1.9999 0.0000 Nd
5.7928 11.2346 2.3713 Nd
6.3190 5.2782 0.0000 Nd
0.0000 9.2346 0.0000 Tl
0.4007 15.3065 2.3713 Tl
3.0963 6.0718 0.0000 Tl
3.4970 0.0000 2.3713 Tl
3.8976 12.3974 0.0000 Tl
6.5933 3.1628 2.3713 Tl
```

[2]
# La2TlPb4
Theoretical powder diffractogram, Cu Kα (λ = 1.5418 Å). Input: a crystal structure in Alexandria, relaxed with PBE.

Top 10 peaks for 10 to 90 degrees two-theta, by angle:
| Position (°2θ) | I_rel |
| --- | --- |
| 15.76 | 13 |
| 31.82 | 100 |
| 36.22 | 18 |
| 37.16 | 17 |
| 37.34 | 16 |
| 52.97 | 18 |
| 62.40 | 15 |
| 63.66 | 14 |
| 63.91 | 14 |
| 66.50 | 12 |

Cell and atoms:
```
La2TlPb4
1.0
9.6792 0.0000 0.0000
0.0000 9.6320 0.0000
-4.8305 0.0000 4.9606
La Tl Pb
4 2 8
Cartesian
2.4198 2.4080 0.0000 La
2.4198 7.2240 0.0000 La
7.2594 2.4080 0.0000 La
7.2594 7.2240 0.0000 La
0.0000 0.0000 0.0000 Tl
4.8396 4.8160 0.0000 Tl
-2.4152 0.0000 2.4803 Pb
-2.4152 4.8160 2.4803 Pb
0.0046 2.4080 2.4803 Pb
0.0046 7.2240 2.4803 Pb
2.4244 0.0000 2.4803 Pb
2.4244 4.8160 2.4803 Pb
4.8442 2.4080 2.4803 Pb
4.8442 7.2240 2.4803 Pb
```

[3]
# Na2Y2Hg
Theoretical powder diffractogram, Cu Kα (λ = 1.5418 Å). Input: a crystal structure in Alexandria, relaxed with PBE.

Top 10 peaks for 10 to 90 degrees two-theta, by angle:
| Position (°2θ) | I_rel |
| --- | --- |
| 18.31 | 18 |
| 26.37 | 53 |
| 31.92 | 44 |
| 32.30 | 100 |
| 33.26 | 82 |
| 39.71 | 55 |
| 45.76 | 27 |
| 57.10 | 46 |
| 62.16 | 29 |
| 76.03 | 20 |

Cell and atoms:
```
Na2Y2Hg
1.0
3.9655 0.0000 0.0000
0.0000 3.9655 0.0000
0.0000 0.0000 19.3798
Na Y Hg
4 4 2
Cartesian
0.0000 1.9828 4.8450 Na
0.0000 1.9828 14.5349 Na
1.9828 0.0000 4.8450 Na
1.9828 0.0000 14.5349 Na
0.0000 0.0000 1.6316 Y
0.0000 0.0000 17.7483 Y
1.9828 1.9828 8.0584 Y
1.9828 1.9828 11.3215 Y
0.0000 0.0000 9.6899 Hg
1.9828 1.9828 0.0000 Hg
```

[4]
# KScCuF6
Theoretical powder diffractogram, Cu Kα (λ = 1.5418 Å). Input: a crystal structure in Alexandria, relaxed with PBE.

Top 10 peaks for 10 to 90 degrees two-theta, by angle:
| Position (°2θ) | I_rel |
| --- | --- |
| 15.65 | 100 |
| 23.72 | 69 |
| 24.56 | 57 |
| 24.82 | 59 |
| 32.96 | 23 |
| 34.65 | 26 |
| 36.97 | 36 |
| 44.15 | 31 |
| 46.79 | 53 |
| 56.88 | 26 |

Cell and atoms:
```
KScCuF6
1.0
2.8527 -4.6368 0.0000
2.8527 4.6368 0.0000
-0.2329 0.0000 5.6620
K Sc Cu F
1 1 1 6
Cartesian
0.0000 0.0000 0.0000 K
2.7363 1.5029 2.8310 Sc
2.7363 -1.6446 2.8310 Cu
0.9043 1.6414 3.8092 F
1.8702 2.7095 1.5441 F
3.6024 2.7095 4.1178 F
2.0770 -0.1737 1.7470 F
4.5683 1.6414 1.8528 F
3.3956 -0.1737 3.9150 F
```

[5]
# PrZn10Ga2
Theoretical powder diffractogram, Cu Kα (λ = 1.5418 Å). Input: a crystal structure in Alexandria, relaxed with PBE.

Top 10 peaks for 10 to 90 degrees two-theta, by angle:
| Position (°2θ) | I_rel |
| --- | --- |
| 31.78 | 24 |
| 34.45 | 53 |
| 37.93 | 100 |
| 39.89 | 59 |
| 40.58 | 54 |
| 40.98 | 63 |
| 43.10 | 29 |
| 43.54 | 26 |
| 45.65 | 21 |
| 72.63 | 26 |

Cell and atoms:
```
PrZn10Ga2
1.0
0.0000 6.1637 6.2957
2.8156 0.0000 6.2957
2.8156 6.1637 0.0000
Pr Zn Ga
1 10 2
Cartesian
0.0000 0.0000 0.0000 Pr
1.4078 0.0000 3.1478 Zn
2.8156 3.9837 2.2608 Zn
2.8156 4.8323 4.9037 Zn
2.8156 8.3436 2.2608 Zn
2.8156 7.4951 4.9037 Zn
1.4078 6.1637 3.1478 Zn
2.8156 4.8323 7.6877 Zn
2.8156 3.9837 10.3306 Zn
2.8156 7.4951 7.6877 Zn
2.8156 8.3436 10.3306 Zn
1.4078 3.0818 0.0000 Ga
1.4078 3.0818 6.2957 Ga
```

[6]
# Sr3Li3Cd2
Theoretical powder diffractogram, Cu Kα (λ = 1.5418 Å). Input: a crystal structure in Alexandria, relaxed with PBE.

Top 10 peaks for 10 to 90 degrees two-theta, by angle:
| Position (°2θ) | I_rel |
| --- | --- |
| 20.49 | 67 |
| 22.78 | 87 |
| 25.06 | 47 |
| 28.58 | 48 |
| 29.50 | 100 |
| 30.94 | 45 |
| 31.74 | 82 |
| 32.81 | 39 |
| 32.99 | 92 |
| 47.11 | 60 |

Cell and atoms:
```
Sr3Li3Cd2
1.0
9.0101 0.0000 0.0000
0.0000 17.3409 0.0000
0.0000 0.0000 6.5429
Sr Li Cd
12 12 8
Cartesian
0.3369 1.8517 0.8147 Sr
0.3369 6.8187 0.8147 Sr
1.5773 4.3352 4.1354 Sr
2.9277 13.0057 0.8640 Sr
4.1681 10.5222 4.0861 Sr
4.1681 15.4892 4.0861 Sr
4.8420 1.8517 2.4568 Sr
4.8420 6.8187 2.4568 Sr
6.0823 4.3352 5.6789 Sr
7.4328 13.0057 2.4075 Sr
8.6732 10.5222 5.7282 Sr
8.6732 15.4892 5.7282 Sr
1.5089 13.0057 3.9780 Li
1.5716 0.6006 3.9321 Li
1.5716 8.0699 3.9321 Li
2.9334 9.2710 0.6606 Li
2.9334 16.7403 0.6606 Li
2.9962 4.3352 0.7066 Li
6.0139 13.0057 5.8363 Li
6.0767 0.6006 5.8823 Li
6.0767 8.0699 5.8823 Li
7.4385 9.2710 2.6108 Li
7.4385 16.7403 2.6108 Li
7.5012 4.3352 2.5649 Li
1.0328 10.4934 2.4546 Cd
1.0328 15.5179 2.4546 Cd
3.4722 1.8230 5.7261 Cd
3.4722 6.8474 5.7261 Cd
5.5379 10.4934 0.8168 Cd
5.5379 15.5179 0.8168 Cd
7.9773 1.8230 4.0883 Cd
7.9773 6.8474 4.0883 Cd
```

[7]
# Mg2CoWN4
Theoretical powder diffractogram, Cu Kα (λ = 1.5418 Å). Input: a crystal structure in Alexandria, relaxed with PBE.

Top 10 peaks for 10 to 90 degrees two-theta, by angle:
| Position (°2θ) | I_rel |
| --- | --- |
| 18.85 | 45 |
| 21.33 | 49 |
| 27.16 | 34 |
| 33.27 | 100 |
| 38.78 | 22 |
| 43.46 | 18 |
| 47.53 | 15 |
| 55.60 | 28 |
| 56.01 | 14 |
| 66.72 | 25 |

Cell and atoms:
```
Mg2CoWN4
1.0
4.6440 0.0000 0.0000
0.0000 4.6440 0.0000
0.0000 0.0000 9.4153
Mg Co W N
4 2 2 8
Cartesian
0.0000 2.3220 2.3538 Mg
0.0000 2.3220 7.0615 Mg
2.3220 0.0000 2.3538 Mg
2.3220 0.0000 7.0615 Mg
0.0000 0.0000 0.0000 Co
2.3220 2.3220 4.7076 Co
0.0000 0.0000 4.7076 W
2.3220 2.3220 0.0000 W
1.1078 1.1078 3.6439 N
1.1078 3.5362 5.7714 N
1.2142 1.2142 8.3516 N
1.2142 3.4298 1.0637 N
3.4298 1.2142 1.0637 N
3.4298 3.4298 8.3516 N
3.5362 1.1078 5.7714 N
3.5362 3.5362 3.6439 N
```

[8]
# SmHoSe3
Theoretical powder diffractogram, Cu Kα (λ = 1.5418 Å). Input: a crystal structure in Alexandria, relaxed with PBE.

Top 10 peaks for 10 to 90 degrees two-theta, by angle:
| Position (°2θ) | I_rel |
| --- | --- |
| 25.03 | 30 |
| 25.21 | 61 |
| 30.18 | 30 |
| 33.82 | 100 |
| 35.52 | 46 |
| 36.13 | 34 |
| 37.45 | 55 |
| 41.89 | 24 |
| 44.14 | 47 |
| 67.22 | 27 |

Cell and atoms:
```
SmHoSe3
1.0
7.7027 0.0000 0.0000
0.0000 4.1034 0.0000
0.0000 0.0000 16.0413
Sm Ho Se
4 4 12
Cartesian
1.0772 1.0259 3.2357 Sm
2.7741 3.0776 11.2563 Sm
4.9286 1.0259 4.7850 Sm
6.6254 3.0776 12.8056 Sm
1.7696 3.0776 7.3402 Ho
2.0817 1.0259 15.3608 Ho
5.6209 3.0776 0.6805 Ho
5.9331 1.0259 8.7011 Ho
0.0654 1.0259 6.3167 Se
0.9347 3.0776 1.0260 Se
1.1690 1.0259 12.5773 Se
2.6824 3.0776 4.5567 Se
2.9166 1.0259 9.0467 Se
3.7860 3.0776 14.3373 Se
3.9167 1.0259 1.7040 Se
4.7861 3.0776 6.9946 Se
5.0203 1.0259 11.4846 Se
6.5337 3.0776 3.4640 Se
6.7679 1.0259 15.0153 Se
7.6373 3.0776 9.7247 Se
```